Entry 1:
For PmDy8Y6, a cell relaxed with PBE gives the theoretical XRD peak list in this record (copper Kα).
Lines closer than 0.1° are merged.

Largest 10 diffraction maxima, most intense first, 2θ = 10–90°:
d_spacing	I_rel
2.846	100
2.756	30
2.935	21
2.444	15
1.535	13
2.570	12
1.722	12
6.867	8
1.661	8
2.265	8

```
PmDy8Y6
1.0
4.529 2.615 6.867
-4.529 2.615 6.867
0.000 -5.230 6.867
Pm Dy Y
1 8 6
Direct
0.000 0.000 0.000 Pm
0.111 0.745 0.719 Dy
0.255 0.281 0.889 Dy
0.281 0.889 0.255 Dy
0.424 0.424 0.424 Dy
0.576 0.576 0.576 Dy
0.719 0.111 0.745 Dy
0.745 0.719 0.111 Dy
0.889 0.255 0.281 Dy
0.106 0.234 0.538 Y
0.234 0.538 0.106 Y
0.462 0.894 0.766 Y
0.538 0.106 0.234 Y
0.766 0.462 0.894 Y
0.894 0.766 0.462 Y
```



Entry 2:
For Ba2SrCl, a cell relaxed with PBE gives the theoretical XRD peak list in this record (copper Kα).
Lines closer than 0.1° are merged.

Largest 10 diffraction maxima, most intense first, 2θ = 10–90°:
d_spacing	I_rel
3.407	100
3.491	67
3.049	57
2.385	51
4.106	44
1.847	34
4.396	33
2.693	27
3.829	26
2.036	24

```
Ba2SrCl
1.0
4.232 0.000 0.000
0.000 4.396 0.000
0.000 0.000 11.487
Ba Sr Cl
2 1 1
Direct
0.000 0.000 0.212 Ba
0.000 0.000 0.788 Ba
0.500 0.500 0.500 Sr
0.500 0.000 0.000 Cl
```



Entry 3:
For RbMgTeI2, a cell relaxed with PBE gives the theoretical XRD peak list in this record (copper Kα).
Lines closer than 0.1° are merged.

Largest 10 diffraction maxima, most intense first, 2θ = 10–90°:
d_spacing	I_rel
3.379	100
2.992	45
1.793	32
2.047	30
2.806	19
2.116	17
1.689	16
1.711	14
1.330	12
1.208	11

```
RbMgTeI2
1.0
5.984 0.000 0.000
0.000 5.984 0.000
0.000 0.000 5.613
Rb Mg Te I
1 1 1 2
Direct
0.000 0.000 0.000 Rb
0.500 0.500 0.500 Mg
0.500 0.500 0.000 Te
0.000 0.500 0.500 I
0.500 0.000 0.500 I
```



Entry 4:
For Ca2DyPt9, a cell relaxed with PBE gives the theoretical XRD peak list in this record (copper Kα).
Lines closer than 0.1° are merged.

Largest 10 diffraction maxima, most intense first, 2θ = 10–90°:
d_spacing	I_rel
2.306	100
4.603	44
2.141	40
2.225	32
1.993	29
1.154	25
1.349	22
2.328	22
1.470	21
1.300	11

```
Ca2DyPt9
1.0
2.698 1.558 8.902
-2.698 1.558 8.902
0.000 -3.115 8.902
Ca Dy Pt
2 1 9
Direct
0.142 0.142 0.142 Ca
0.858 0.858 0.858 Ca
0.000 0.000 0.000 Dy
0.081 0.586 0.586 Pt
0.333 0.333 0.333 Pt
0.414 0.414 0.919 Pt
0.414 0.919 0.414 Pt
0.500 0.500 0.500 Pt
0.586 0.081 0.586 Pt
0.586 0.586 0.081 Pt
0.667 0.667 0.667 Pt
0.919 0.414 0.414 Pt
```



Entry 5:
For CePrCo, a cell relaxed with PBE gives the theoretical XRD peak list in this record (copper Kα).
Lines closer than 0.1° are merged.

Largest 10 diffraction maxima, most intense first, 2θ = 10–90°:
d_spacing	I_rel
3.035	100
2.674	62
2.588	45
1.762	35
2.342	34
1.736	27
1.567	14
1.424	14
6.245	13
1.902	13

```
CePrCo
1.0
4.684 0.000 0.000
0.000 5.175 0.000
0.000 0.000 6.245
Ce Pr Co
2 2 2
Direct
0.250 0.250 0.044 Ce
0.750 0.750 0.956 Ce
0.250 0.750 0.395 Pr
0.750 0.250 0.605 Pr
0.250 0.750 0.859 Co
0.750 0.250 0.141 Co
```



Entry 6:
For TaPO5, a cell relaxed with PBE gives the theoretical XRD peak list in this record (copper Kα).
Lines closer than 0.1° are merged.

Largest 10 diffraction maxima, most intense first, 2θ = 10–90°:
d_spacing	I_rel
4.229	100
4.368	70
3.398	60
5.711	55
2.786	47
3.966	44
2.528	44
5.830	27
1.829	26
1.715	23

```
TaPO5
1.0
6.780 0.000 0.000
0.000 5.410 0.000
-0.002 0.000 11.423
Ta P O
4 4 20
Direct
0.169 0.250 0.063 Ta
0.331 0.250 0.563 Ta
0.669 0.750 0.437 Ta
0.831 0.750 0.937 Ta
0.028 0.750 0.654 P
0.472 0.750 0.154 P
0.528 0.250 0.846 P
0.972 0.250 0.346 P
0.000 0.000 0.000 O
0.000 0.500 0.000 O
0.031 0.250 0.216 O
0.147 0.516 0.629 O
0.147 0.984 0.629 O
0.163 0.250 0.420 O
0.336 0.250 0.919 O
0.353 0.516 0.128 O
0.353 0.984 0.128 O
0.470 0.250 0.715 O
0.500 0.000 0.500 O
0.500 0.500 0.500 O
0.530 0.750 0.285 O
0.647 0.016 0.872 O
0.647 0.484 0.872 O
0.664 0.750 0.081 O
0.837 0.750 0.580 O
0.853 0.016 0.371 O
0.853 0.484 0.371 O
0.969 0.750 0.784 O
```



Entry 7:
For PmPuC, a cell relaxed with PBE gives the theoretical XRD peak list in this record (copper Kα).
Lines closer than 0.1° are merged.

Largest 10 diffraction maxima, most intense first, 2θ = 10–90°:
d_spacing	I_rel
2.747	100
1.754	43
3.227	29
2.211	27
3.036	23
1.540	21
6.454	16
1.478	16
1.130	14
1.187	12

```
PmPuC
1.0
3.505 0.000 0.000
-1.753 3.036 0.000
0.000 0.000 6.454
Pm Pu C
1 1 1
Direct
0.000 0.000 0.000 Pm
0.333 0.667 0.445 Pu
0.667 0.333 0.240 C
```



Entry 8:
For TbB3H12, a cell relaxed with PBE gives the theoretical XRD peak list in this record (copper Kα).
Lines closer than 0.1° are merged.

Largest 10 diffraction maxima, most intense first, 2θ = 10–90°:
d_spacing	I_rel
5.496	100
3.886	60
2.458	47
2.245	23
2.748	20
3.173	18
1.833	15
1.738	14
1.943	14
1.333	10

```
TbB3H12
1.0
3.883 2.242 6.358
-3.883 2.242 6.358
0.000 -4.483 6.358
Tb B H
2 6 24
Direct
0.000 0.000 0.000 Tb
0.500 0.500 0.500 Tb
0.249 0.750 0.251 B
0.250 0.749 0.751 B
0.251 0.249 0.750 B
0.749 0.751 0.250 B
0.750 0.251 0.249 B
0.751 0.250 0.749 B
0.094 0.905 0.283 H
0.095 0.717 0.906 H
0.096 0.282 0.718 H
0.217 0.595 0.406 H
0.218 0.404 0.782 H
0.218 0.782 0.596 H
0.282 0.718 0.096 H
0.282 0.904 0.718 H
0.283 0.094 0.905 H
0.404 0.782 0.218 H
0.405 0.594 0.783 H
0.406 0.217 0.595 H
0.594 0.783 0.405 H
0.595 0.406 0.217 H
0.596 0.218 0.782 H
0.717 0.906 0.095 H
0.718 0.096 0.282 H
0.718 0.282 0.904 H
0.782 0.218 0.404 H
0.782 0.596 0.218 H
0.783 0.405 0.594 H
0.904 0.718 0.282 H
0.905 0.283 0.094 H
0.906 0.095 0.717 H
```



Entry 9:
For Sr8Hg3Au2, a cell relaxed with PBE gives the theoretical XRD peak list in this record (copper Kα).
Lines closer than 0.1° are merged.

Largest 10 diffraction maxima, most intense first, 2θ = 10–90°:
d_spacing	I_rel
2.782	100
2.758	49
4.529	40
1.596	28
1.950	18
2.355	15
1.610	14
1.599	9
1.984	9
2.386	9

```
Sr8Hg3Au2
1.0
9.654 0.000 0.000
0.000 5.510 0.000
-3.370 0.000 9.077
Sr Hg Au
8 3 2
Direct
0.121 0.000 0.375 Sr
0.127 0.500 0.873 Sr
0.372 0.500 0.627 Sr
0.376 0.000 0.121 Sr
0.624 0.000 0.879 Sr
0.628 0.500 0.373 Sr
0.873 0.500 0.127 Sr
0.879 0.000 0.625 Sr
0.000 0.000 0.000 Hg
0.255 0.500 0.255 Hg
0.745 0.500 0.745 Hg
0.254 0.000 0.745 Au
0.746 0.000 0.255 Au
```



Entry 10:
For CaPr5Sm2, a cell relaxed with PBE gives the theoretical XRD peak list in this record (copper Kα).
Lines closer than 0.1° are merged.

Largest 10 diffraction maxima, most intense first, 2θ = 10–90°:
d_spacing	I_rel
3.068	100
2.881	90
2.588	47
3.087	47
2.618	42
3.181	39
1.679	36
2.061	30
2.386	28
2.734	25

```
CaPr5Sm2
1.0
-3.087 5.888 8.142
3.087 -5.888 8.142
3.087 5.888 -8.142
Ca Pr Sm
2 10 4
Direct
0.346 0.096 0.250 Ca
0.654 0.904 0.750 Ca
0.043 0.106 0.937 Pr
0.202 0.452 0.750 Pr
0.277 0.696 0.582 Pr
0.331 0.894 0.437 Pr
0.386 0.304 0.082 Pr
0.614 0.696 0.918 Pr
0.669 0.106 0.563 Pr
0.723 0.304 0.418 Pr
0.798 0.548 0.250 Pr
0.957 0.894 0.063 Pr
0.000 0.000 0.500 Sm
0.000 0.500 0.000 Sm
0.000 0.500 0.500 Sm
0.500 0.500 0.000 Sm
```



Entry 11:
For FeSiSeBr2, a cell relaxed with PBE gives the theoretical XRD peak list in this record (copper Kα).
Lines closer than 0.1° are merged.

Largest 10 diffraction maxima, most intense first, 2θ = 10–90°:
d_spacing	I_rel
2.771	100
2.449	85
4.898	56
1.681	52
2.310	36
1.732	29
1.469	28
1.386	27
4.621	27
2.164	14

```
FeSiSeBr2
1.0
4.898 0.000 0.000
0.000 4.898 0.000
0.000 0.000 4.621
Fe Si Se Br
1 1 1 2
Direct
0.000 0.000 0.000 Fe
0.500 0.500 0.500 Si
0.000 0.000 0.500 Se
0.000 0.500 0.000 Br
0.500 0.000 0.000 Br
```



Entry 12:
For Ho5Er4Sc, a cell relaxed with PBE gives the theoretical XRD peak list in this record (copper Kα).
Lines closer than 0.1° are merged.

Largest 10 diffraction maxima, most intense first, 2θ = 10–90°:
d_spacing	I_rel
2.852	100
2.473	45
2.846	33
1.745	32
2.459	22
1.492	19
1.489	19
1.484	19
1.131	10
1.105	9

```
Ho5Er4Sc
1.0
3.503 0.000 0.000
-1.750 9.071 0.000
-0.012 -2.674 9.466
Ho Er Sc
5 4 1
Direct
0.000 0.000 0.000 Ho
0.199 0.399 0.100 Ho
0.199 0.399 0.599 Ho
0.801 0.601 0.401 Ho
0.801 0.601 0.900 Ho
0.402 0.803 0.205 Er
0.402 0.804 0.697 Er
0.598 0.196 0.303 Er
0.598 0.197 0.795 Er
0.000 0.000 0.500 Sc
```



Entry 13:
For Ti4Mn5V3, a cell relaxed with PBE gives the theoretical XRD peak list in this record (copper Kα).
Lines closer than 0.1° are merged.

Largest 10 diffraction maxima, most intense first, 2θ = 10–90°:
d_spacing	I_rel
2.069	100
2.034	98
2.229	71
1.262	28
1.857	23
2.432	23
1.971	22
1.217	16
1.362	14
1.322	13

```
Ti4Mn5V3
1.0
7.882 0.000 0.000
0.000 2.428 4.218
0.000 -2.428 4.218
Ti Mn V
4 5 3
Direct
0.184 0.000 0.000 Ti
0.309 0.332 0.332 Ti
0.691 0.332 0.332 Ti
0.816 0.000 0.000 Ti
0.000 0.014 0.493 Mn
0.000 0.493 0.014 Mn
0.000 0.493 0.493 Mn
0.500 0.325 0.840 Mn
0.500 0.840 0.325 Mn
0.243 0.662 0.662 V
0.500 0.839 0.839 V
0.757 0.662 0.662 V
```